Simulated powder XRD pattern
Compound: Er4MgIr2
Radiation: CuKα
Structure: the GGA-PBE geometry in Alexandria
Lines closer than 0.1° are merged.

Structure:
```
data_Er4MgIr2
_chemical_formula_sum 'Er8 Mg2 Ir4'
_cell_length_a 7.307
_cell_length_b 7.311
_cell_length_c 7.556
_cell_angle_alpha 94.93
_cell_angle_beta 108.00
_cell_angle_gamma 102.93
_space_group_name_H-M_alt 'P 1'
_space_group_IT_number 1
loop_
_space_group_symop_operation_xyz
'x,y,z'
loop_
_atom_site_label
_atom_site_fract_x
_atom_site_fract_y
_atom_site_fract_z
_atom_site_occupancy
Er1 0.000 0.000 0.000 1
Er2 0.023 0.507 0.074 1
Er3 0.130 0.981 0.589 1
Er4 0.279 0.532 0.614 1
Er5 0.465 0.376 0.012 1
Er6 0.491 0.854 0.073 1
Er7 0.631 0.954 0.603 1
Er8 0.755 0.511 0.575 1
Mg1 0.364 0.213 0.349 1
Mg2 0.858 0.206 0.336 1
Ir1 0.010 0.262 0.742 1
Ir2 0.112 0.727 0.821 1
Ir3 0.425 0.602 0.321 1
Ir4 0.682 0.672 0.876 1
```

Principal peaks in the range 2θ from 10° to 90°, in order of rising 2θ:
12.49°, I 100; 12.60°, I 77; 14.81°, I 43; 32.29°, I 40; 32.76°, I 66; 33.21°, I 74; 34.75°, I 41; 37.61°, I 61; 38.48°, I 77; 38.98°, I 84; 39.59°, I 40; 50.03°, I 37

***

Simulated powder XRD pattern
Compound: ErMnIr
Radiation: CuKα
Structure: the GGA-PBE geometry in Alexandria
Lines closer than 0.1° are merged.

Structure:
```
data_ErMnIr
_chemical_formula_sum 'Er4 Mn4 Ir4'
_cell_length_a 5.157
_cell_length_b 5.513
_cell_length_c 7.275
_cell_angle_alpha 90.00
_cell_angle_beta 90.00
_cell_angle_gamma 90.00
_space_group_name_H-M_alt 'I m m a'
_space_group_IT_number 74
_space_group_name_Hall '-I 2b 2'
loop_
_atom_site_label
_atom_site_fract_x
_atom_site_fract_y
_atom_site_fract_z
_atom_site_occupancy
Er1 0.000 0.250 0.125 1
Mn1 0.250 0.250 0.750 1
Ir1 0.000 0.000 0.500 1
```

Principal peaks in the range 2θ from 10° to 90°, in order of rising 2θ:
21.12°, I 13; 24.47°, I 15; 34.27°, I 42; 34.79°, I 32; 39.07°, I 100; 40.59°, I 43; 41.11°, I 71; 42.99°, I 24; 61.04°, I 13; 65.23°, I 22; 72.21°, I 30; 82.68°, I 12